[1]
Simulated PXRD pattern
Compound: Co2Ag
Radiation: Cu Kα
Structure: DFT lattice parameters and positions (GGA-PBE)
Lines closer than 0.1° are merged.

Largest 6 diffraction maxima, most intense first, 2θ = 15–90°:
2θ = 41.52°, 2.175 Å, rel. 100; 2θ = 47.15°, 1.928 Å, rel. 37; 2θ = 83.72°, 1.155 Å, rel. 17; 2θ = 33.91°, 2.644 Å, rel. 14; 2θ = 33.10°, 2.706 Å, rel. 11; 2θ = 68.88°, 1.363 Å, rel. 11

Crystal structure
```
Co2Ag
1.0
11.157 0.000 0.000
0.000 2.726 0.000
-0.660 0.000 2.645
Co Ag
4 2
direct
0.187 0.000 0.187
0.313 0.500 0.813
0.687 0.500 0.187
0.813 0.000 0.813
0.000 0.500 0.500
0.500 0.000 0.500
```

***

[2]
Simulated PXRD pattern
Compound: Cs3Pa2H2O5
Radiation: Cu Kα
Structure: DFT lattice parameters and positions (GGA-PBE)
Lines closer than 0.1° are merged.

Largest 6 diffraction maxima, most intense first, 2θ = 15–90°:
2θ = 26.68°, 3.341 Å, rel. 100; 2θ = 28.39°, 3.143 Å, rel. 46; 2θ = 49.24°, 1.851 Å, rel. 38; 2θ = 40.59°, 2.223 Å, rel. 24; 2θ = 31.89°, 2.806 Å, rel. 14; 2θ = 46.02°, 1.972 Å, rel. 14

Crystal structure
```
Cs3Pa2H2O5
1.0
-2.223 2.223 12.664
2.223 -2.223 12.664
2.223 2.223 -12.664
Cs Pa H O
3 2 2 5
direct
0.000 0.000 0.000
0.187 0.187 0.000
0.813 0.813 0.000
0.412 0.412 0.000
0.588 0.588 0.000
0.319 0.319 0.000
0.681 0.681 0.000
0.096 0.596 0.500
0.404 0.904 0.500
0.500 0.500 0.000
0.596 0.096 0.500
0.904 0.404 0.500
```

***

[3]
Simulated PXRD pattern
Compound: TaNb2Te2Se4
Radiation: Cu Kα
Structure: DFT lattice parameters and positions (GGA-PBE)
Lines closer than 0.1° are merged.

Largest 6 diffraction maxima, most intense first, 2θ = 15–90°:
2θ = 35.85°, 2.505 Å, rel. 100; 2θ = 29.12°, 3.066 Å, rel. 52; 2θ = 44.58°, 2.032 Å, rel. 44; 2θ = 51.63°, 1.770 Å, rel. 43; 2θ = 33.57°, 2.670 Å, rel. 24; 2θ = 31.69°, 2.823 Å, rel. 24

Crystal structure
```
TaNb2Te2Se4
1.0
3.541 0.000 0.000
-1.770 3.066 0.000
0.000 0.000 21.714
Ta Nb Te Se
1 2 2 4
direct
0.000 0.000 0.000
0.000 0.000 0.642
0.667 0.333 0.327
0.667 0.333 0.088
0.667 0.333 0.912
0.000 0.000 0.251
0.000 0.000 0.404
0.667 0.333 0.566
0.667 0.333 0.719
```